Li5V2Cr2O8: computed powder diffraction line list (Cu Kα (λ = 1.5418 Å)), based on the PBE+U geometry in Alexandria.

Unit cell a=6.083 b=6.083 c=6.016 alpha=119.50 beta=119.50 gamma=59.14
Element x y z (fractional)
Li 0.000 0.000 0.000
Li 0.000 0.500 0.000
Li 0.069 0.069 0.710
Li 0.500 0.000 0.000
Li 0.931 0.931 0.290
V 0.500 0.500 0.000
V 0.500 0.500 0.500
Cr 0.000 0.500 0.500
Cr 0.500 0.000 0.500
O 0.243 0.728 0.747
O 0.252 0.252 0.268
O 0.255 0.255 0.742
O 0.272 0.757 0.253
O 0.728 0.243 0.747
O 0.745 0.745 0.258
O 0.748 0.748 0.732
O 0.757 0.272 0.253

The 10 most intense peaks (10° ≤ 2θ ≤ 90°), low angle first:
2θ = 17.92°, rel. 100
2θ = 34.26°, rel. 16
2θ = 34.93°, rel. 35
2θ = 36.33°, rel. 12
2θ = 41.41°, rel. 32
2θ = 42.55°, rel. 60
2θ = 56.19°, rel. 10
2θ = 60.80°, rel. 16
2θ = 60.95°, rel. 18
2θ = 77.15°, rel. 11